Diffraction record for TbNd2In3. The powder diffractogram is simulated, not measured: it uses a structure optimized by DFT (PBE) and Cu Kα.

Atomic structure:
```
TbNd2In3
1.0
2.718 -8.159 0.000
2.718 8.159 0.000
0.000 0.000 7.669
Tb Nd In
2 4 6
Direct
0.167 0.833 0.000
0.833 0.167 0.000
0.165 0.835 0.500
0.500 0.500 0.000
0.500 0.500 0.500
0.835 0.165 0.500
0.000 0.000 0.243
0.000 0.000 0.757
0.331 0.669 0.243
0.331 0.669 0.757
0.669 0.331 0.243
0.669 0.331 0.757
```

Top 10 peaks for 15° ≤ 2θ ≤ 90°, low angle first:
- 32.97 deg, rel. 100
- 47.28 deg, rel. 12
- 47.42 deg, rel. 6
- 58.87 deg, rel. 31
- 58.95 deg, rel. 6
- 69.09 deg, rel. 4
- 69.20 deg, rel. 7
- 78.71 deg, rel. 11
- 78.93 deg, rel. 5
- 88.08 deg, rel. 4